The following is a calculated XRD peak list of Y5Ga3. It was derived from a crystal structure in the Materials Project, relaxed with PBE, using λ = 1.5418 Å (Cu Kα).
Kinematic intensities with the Lorentz-polarization factor, no thermal factor.

Most intense lines, 10° ≤ 2θ ≤ 90°, in order of rising 2θ:
h k l, two_theta, Rel. int.
1 1 4, 30.0, 13
2 1 3, 32.2, 100
2 2 0, 33.1, 13
2 0 4, 34.4, 36
3 1 0, 37.1, 46
4 1 3, 52.9, 13

Cell and atoms:
Unit cell a=7.6566 b=7.6566 c=14.2394 alpha=90.00 beta=90.00 gamma=90.00
Fractional coordinates of all 32 atoms:
Y 0.0800 0.5819 0.1029
Y 0.0800 0.9181 0.6029
Y 0.0819 0.5800 0.3971
Y 0.0819 0.9200 0.8971
Y 0.2500 0.2500 0.2463
Y 0.2500 0.2500 0.7463
Y 0.4181 0.5800 0.8971
Y 0.4181 0.9200 0.3971
Y 0.4200 0.5819 0.6029
Y 0.4200 0.9181 0.1029
Y 0.5800 0.0819 0.8971
Y 0.5800 0.4181 0.3971
Y 0.5819 0.0800 0.6029
Y 0.5819 0.4200 0.1029
Y 0.7500 0.7500 0.2537
Y 0.7500 0.7500 0.7537
Y 0.9181 0.0800 0.1029
Y 0.9181 0.4200 0.6029
Y 0.9200 0.0819 0.3971
Y 0.9200 0.4181 0.8971
Ga 0.1269 0.6269 0.7500
Ga 0.1269 0.8731 0.2500
Ga 0.2500 0.2500 0.0024
Ga 0.2500 0.2500 0.5024
Ga 0.3731 0.6269 0.2500
Ga 0.3731 0.8731 0.7500
Ga 0.6269 0.1269 0.2500
Ga 0.6269 0.3731 0.7500
Ga 0.7500 0.7500 0.4976
Ga 0.7500 0.7500 0.9976
Ga 0.8731 0.1269 0.7500
Ga 0.8731 0.3731 0.2500